# AlCo
Calculated XRD peak list, Cu Ka. Input: a cell relaxed with GGA-PBE.
Lines closer than 0.1° are merged.

Peak list (4 most intense, 2θ = 5–70°, sorted by position)
(1 0 0), 2θ = 31.3°, intensity 21.9; (1 1 0), 2θ = 44.9°, intensity 100.0; (1 1 1), 2θ = 55.8°, intensity 5.0; (2 0 0), 2θ = 65.4°, intensity 15.2

Structural model:
a = 2.8540 Å, b = 2.8540 Å, c = 2.8540 Å
α = 90.00°, β = 90.00°, γ = 90.00°
Fractional positions:
Al (0.0000, 0.0000, 0.0000)
Co (0.5000, 0.5000, 0.5000)



# La6NbGa11O28
Calculated XRD peak list, Cu Ka. Input: a cell relaxed with GGA-PBE.
Lines closer than 0.1° are merged.

Peak list (12 most intense, 2θ = 5–70°, sorted by position)
(1 1 3), 2θ = 27.5°, intensity 100.0; (1 3 1), 2θ = 27.6°, intensity 52.4; (0 1 3), 2θ = 30.2°, intensity 71.4; (0 3 1), 2θ = 30.3°, intensity 90.7; (2 3 1), 2θ = 30.4°, intensity 32.2; (-1 2 2), 2θ = 32.9°, intensity 18.9; (2 3 3), 2θ = 33.0°, intensity 27.6; (0 2 -2), 2θ = 34.5°, intensity 35.6; (0 3 3), 2θ = 37.5°, intensity 23.3; (1 0 -4), 2θ = 48.4°, intensity 37.9; (3 3 5), 2θ = 49.0°, intensity 17.0; (0 1 -5), 2θ = 59.1°, intensity 15.9

Structural model:
a = 8.2684 Å, b = 9.7513 Å, c = 9.8002 Å
α = 64.19°, β = 65.14°, γ = 65.32°
Fractional positions:
La (0.0000, 0.0000, 0.0000)
La (0.0006, 0.5031, 0.4952)
La (0.4244, 0.0762, 0.0735)
La (0.4319, 0.5775, 0.5662)
La (0.8444, 0.2868, 0.2859)
La (0.8644, 0.7831, 0.7863)
Nb (0.4268, 0.7891, 0.7860)
Ga (0.0914, 0.8639, 0.3877)
Ga (0.0983, 0.3521, 0.8808)
Ga (0.1847, 0.0589, 0.5291)
Ga (0.2021, 0.5191, 0.0396)
Ga (0.4181, 0.2918, 0.2883)
Ga (0.4184, 0.6506, 0.1659)
Ga (0.4334, 0.1597, 0.6422)
Ga (0.6702, 0.4130, 0.9149)
Ga (0.6725, 0.9194, 0.4082)
Ga (0.7540, 0.2201, 0.6890)
Ga (0.7630, 0.7164, 0.1822)
O (0.0832, 0.0322, 0.2065)
O (0.0905, 0.5308, 0.7081)
O (0.1159, 0.3586, 0.0619)
O (0.1171, 0.8753, 0.5618)
O (0.2038, 0.9738, 0.7409)
O (0.2092, 0.4961, 0.2364)
O (0.2646, 0.2623, 0.5237)
O (0.2815, 0.6780, 0.3655)
O (0.2870, 0.7847, 0.0125)
O (0.2892, 0.1680, 0.8552)
O (0.3396, 0.1083, 0.3223)
O (0.3401, 0.6071, 0.8252)
O (0.4799, 0.3224, 0.0503)
O (0.5097, 0.7970, 0.5566)
O (0.5638, 0.4415, 0.2228)
O (0.5680, 0.2978, 0.5910)
O (0.5716, 0.9425, 0.7156)
O (0.5730, 0.7866, 0.0915)
O (0.6280, 0.1280, 0.3875)
O (0.6482, 0.6286, 0.8638)
O (0.7367, 0.9086, 0.2046)
O (0.7376, 0.4087, 0.7075)
O (0.7587, 0.0476, 0.8673)
O (0.7623, 0.5480, 0.3644)
O (0.8836, 0.2808, 0.9795)
O (0.8846, 0.7861, 0.4782)
O (0.9558, 0.2087, 0.5095)
O (0.9772, 0.6971, 0.0106)



# IrPtN5Cl5
Calculated XRD peak list, Cu Ka. Input: a cell relaxed with GGA-PBE.
Lines closer than 0.1° are merged.

Peak list (12 most intense, 2θ = 5–70°, sorted by position)
(2 0 0), 2θ = 9.5°, intensity 17.9; (2 1 0), 2θ = 14.3°, intensity 100.0; (2 1 1), 2θ = 18.3°, intensity 33.4; (3 1 1), 2θ = 21.2°, intensity 31.6; (0 2 0), 2θ = 21.5°, intensity 33.4; (1 0 2), 2θ = 23.2°, intensity 32.8; (4 1 1), 2θ = 24.7°, intensity 18.8; (5 0 1), 2θ = 26.5°, intensity 28.9; (3 1 2), 2θ = 29.0°, intensity 26.1; (4 1 2), 2θ = 31.8°, intensity 16.1; (5 2 1), 2θ = 34.4°, intensity 12.8; (7 1 1), 2θ = 37.3°, intensity 13.1

Structural model:
a = 18.6217 Å, b = 8.2678 Å, c = 7.8389 Å
α = 90.00°, β = 90.00°, γ = 90.00°
Fractional positions:
Ir (0.1106, 0.2500, 0.1485)
Ir (0.3894, 0.7500, 0.6485)
Ir (0.6106, 0.2500, 0.3515)
Ir (0.8894, 0.7500, 0.8515)
Pt (0.1998, 0.2500, 0.5707)
Pt (0.3002, 0.7500, 0.0707)
Pt (0.6998, 0.2500, 0.9293)
Pt (0.8002, 0.7500, 0.4293)
N (0.0330, 0.0937, 0.3269)
N (0.0330, 0.4063, 0.3269)
N (0.1463, 0.0757, 0.0538)
N (0.1463, 0.4243, 0.0538)
N (0.1566, 0.2500, 0.3652)
N (0.3434, 0.7500, 0.8652)
N (0.3537, 0.5757, 0.5538)
N (0.3537, 0.9243, 0.5538)
N (0.4670, 0.5937, 0.8269)
N (0.4670, 0.9063, 0.8269)
N (0.5330, 0.0937, 0.1731)
N (0.5330, 0.4063, 0.1731)
N (0.6463, 0.0757, 0.4462)
N (0.6463, 0.4243, 0.4462)
N (0.6566, 0.2500, 0.1348)
N (0.8434, 0.7500, 0.6348)
N (0.8537, 0.5757, 0.9462)
N (0.8537, 0.9243, 0.9462)
N (0.9670, 0.5937, 0.6731)
N (0.9670, 0.9063, 0.6731)
Cl (0.0003, 0.2500, 0.3990)
Cl (0.9997, 0.7500, 0.6010)
Cl (0.0096, 0.2500, 0.9675)
Cl (0.1918, 0.5241, 0.6158)
Cl (0.1918, 0.9759, 0.6158)
Cl (0.2148, 0.7500, 0.2751)
Cl (0.2852, 0.2500, 0.7751)
Cl (0.3082, 0.0241, 0.1158)
Cl (0.3082, 0.4759, 0.1158)
Cl (0.4904, 0.7500, 0.4675)
Cl (0.5003, 0.2500, 0.1010)
Cl (0.4997, 0.7500, 0.8990)
Cl (0.5096, 0.2500, 0.5325)
Cl (0.6918, 0.5241, 0.8842)
Cl (0.6918, 0.9759, 0.8842)
Cl (0.7148, 0.7500, 0.2249)
Cl (0.7852, 0.2500, 0.7249)
Cl (0.8082, 0.0241, 0.3842)
Cl (0.8082, 0.4759, 0.3842)
Cl (0.9904, 0.7500, 0.0325)



# In2Se3
Calculated XRD peak list, Cu Ka. Input: a cell relaxed with GGA-PBE.
Lines closer than 0.1° are merged.

Peak list (12 most intense, 2θ = 5–70°, sorted by position)
(0 0 1), 2θ = 9.0°, intensity 20.5; (0 0 2), 2θ = 18.1°, intensity 20.2; (1 0 0), 2θ = 25.6°, intensity 11.0; (1 0 1), 2θ = 27.2°, intensity 14.6; (1 0 2), 2θ = 31.5°, intensity 100.0; (0 1 3), 2θ = 37.8°, intensity 10.4; (1 1 0), 2θ = 45.1°, intensity 38.1; (0 1 4), 2θ = 45.3°, intensity 39.1; (1 1 2), 2θ = 49.0°, intensity 8.8; (0 2 2), 2θ = 56.1°, intensity 18.8; (0 1 6), 2θ = 62.9°, intensity 4.8; (2 0 4), 2θ = 65.9°, intensity 12.4

Structural model:
a = 4.0184 Å, b = 4.0184 Å, c = 9.7887 Å
α = 90.00°, β = 90.00°, γ = 120.00°
Fractional positions:
In (0.3333, 0.6667, 0.3073)
In (0.6667, 0.3333, 0.6927)
Se (0.0000, 0.0000, 0.5000)
Se (0.3333, 0.6667, 0.8298)
Se (0.6667, 0.3333, 0.1702)